Starting from a structure optimized by DFT (GGA+U), the X-ray powder pattern of Ca4Mo6O19 was simulated for Cu Kα (λ = 1.5418 Å).
Kinematic intensities with the Lorentz-polarization factor, no thermal factor.

Largest 10 diffraction maxima, by angle, 15° ≤ 2θ ≤ 90°:
hkl	2θ/deg	I_rel
2 0 0	19.1	571
2 1 1	23.5	253
3 1 0	30.5	1000
3 2 1	36.2	780
4 2 2	48.0	186
4 1 3	50.1	575
6 0 0	59.8	340
5 3 2	61.6	169
6 3 1	68.6	163
7 3 2	81.7	123

Structure:
```
data_Ca4Mo6O19
_space_group_name_H-M_alt 'I 2 3'
_space_group_IT_number 197
_space_group_name_Hall 'I 2 2 3'
_cell_length_a 9.2798
_cell_length_b 9.2798
_cell_length_c 9.2798
_cell_angle_alpha 90.00
_cell_angle_beta 90.00
_cell_angle_gamma 90.00
loop_
_atom_site_label
_atom_site_type_symbol
_atom_site_fract_x
_atom_site_fract_y
_atom_site_fract_z
Ca1 Ca 0.1404 0.1404 0.8596
Mo1 Mo 0.0000 0.3388 0.5000
O1 O 0.0000 0.0000 0.0000
O2 O 0.0000 0.0000 0.3548
O3 O 0.0177 0.3176 0.7037
```